Theoretical X-ray powder pattern of Li2Hf5Sb5 for Cu Kα, from a DFT-relaxed cell (GGA-PBE, Alexandria).

Atomic structure:
```
data_Li2Hf5Sb5
_chemical_formula_sum 'Li4 Hf10 Sb10'
_cell_length_a 9.7065
_cell_length_b 9.7065
_cell_length_c 6.0792
_cell_angle_alpha 90.00
_cell_angle_beta 90.00
_cell_angle_gamma 90.00
_symmetry_space_group_name_H-M 'I 4 m m'
_symmetry_Int_Tables_number 107
_symmetry_space_group_name_Hall 'I 4 -2'
loop_
_atom_site_label
_atom_site_type_symbol
_atom_site_fract_x
_atom_site_fract_y
_atom_site_fract_z
_atom_site_occupancy
Li1 Li 0.0000 0.5000 0.0000 1
Hf1 Hf 0.0000 0.0000 0.1286 1
Hf2 Hf 0.2121 0.2121 0.5961 1
Sb1 Sb 0.0000 0.0000 0.6657 1
Sb2 Sb 0.0000 0.2851 0.2500 1
```

Top 8 peaks for 2θ from 15° to 90°, by intensity:
| two_theta | intensity | h k l |
| --- | --- | --- |
| 31.3 | 100.0 | 3 0 1 |
| 39.6 | 79.8 | 2 2 2 |
| 37.0 | 60.6 | 4 0 0 |
| 29.4 | 43.9 | 0 0 2 |
| 49.3 | 41.4 | 5 0 1 |
| 69.8 | 40.4 | 5 2 3 |
| 25.2 | 32.6 | 2 1 1 |
| 39.4 | 32.6 | 3 3 0 |


Theoretical X-ray powder pattern of Zr5N5O2 for Cu Kα, from a DFT-relaxed cell (GGA-PBE, Alexandria).

Atomic structure:
```
data_Zr5N5O2
_chemical_formula_sum 'Zr10 N10 O4'
_cell_length_a 10.6000
_cell_length_b 3.1164
_cell_length_c 9.2606
_cell_angle_alpha 90.00
_cell_angle_beta 105.67
_cell_angle_gamma 90.00
_symmetry_space_group_name_H-M 'C 1 2/m 1'
_symmetry_Int_Tables_number 12
_symmetry_space_group_name_Hall '-C 2y'
loop_
_atom_site_label
_atom_site_type_symbol
_atom_site_fract_x
_atom_site_fract_y
_atom_site_fract_z
_atom_site_occupancy
Zr1 Zr 0.0000 0.0000 0.0000 1
Zr2 Zr 0.1128 0.0000 0.4233 1
Zr3 Zr 0.2029 0.5000 0.8085 1
N1 N 0.0000 0.5000 0.5000 1
N2 N 0.1568 0.5000 0.0545 1
N3 N 0.2365 0.5000 0.3526 1
O1 O 0.0455 0.0000 0.7874 1
```

Top 8 peaks for 2θ from 15° to 90°, by intensity:
| two_theta | intensity | h k l |
| --- | --- | --- |
| 30.0 | 100.0 | 2 0 2 |
| 30.4 | 71.2 | 2 0 -3 |
| 33.8 | 40.5 | 4 0 -1 |
| 40.8 | 37.1 | 3 1 -2 |
| 32.4 | 33.2 | 1 1 1 |
| 42.4 | 29.3 | 3 1 1 |
| 38.6 | 20.8 | 3 1 -1 |
| 53.2 | 19.8 | 1 1 4 |